(1)
The following is a simulated powder diffractogram of LiPu4Sb3. It was derived from DFT lattice parameters and positions (PBE), using λ = 1.5418 Å (Cu Kα).
Peak positions follow from Bragg's law for the DFT cell and can differ from measured ones.

Principal peaks in the range 2θ = 10–80°, sorted by position:
- d = 8.429 Å, intensity 22
- d = 2.955 Å, intensity 41
- d = 2.885 Å, intensity 100
- d = 2.666 Å, intensity 42
- d = 2.597 Å, intensity 84
- d = 2.420 Å, intensity 22
- d = 2.073 Å, intensity 22
- d = 1.692 Å, intensity 21
- d = 1.628 Å, intensity 21
- d = 1.464 Å, intensity 28

```
LiPu4Sb3
1.0
-5.9604 5.9604 2.9553
5.9604 -5.9604 2.9553
5.9604 5.9604 -2.9553
Li Pu Sb
2 8 6
Cartesian
5.9604 0.0000 1.4777
0.0000 5.9604 1.4777
9.2647 1.0505 0.0000
1.0505 2.6560 0.0000
7.0108 3.3044 0.0000
3.3044 4.9099 0.0000
2.6560 1.0505 2.9553
-1.0505 2.6560 2.9553
4.9099 3.3044 2.9553
-3.3044 4.9099 2.9553
4.1930 1.7673 0.0000
0.0000 0.0000 1.4777
4.1930 -1.7673 2.9553
1.7673 7.7277 0.0000
0.0000 0.0000 4.4330
1.7673 4.1930 2.9553
```

(2)
The following is a simulated powder diffractogram of Na2SrTl5. It was derived from DFT lattice parameters and positions (PBE), using λ = 1.5418 Å (Cu Kα).
Peak positions follow from Bragg's law for the DFT cell and can differ from measured ones.

Principal peaks in the range 2θ = 10–80°, sorted by position:
- d = 4.357 Å, intensity 12
- d = 3.700 Å, intensity 17
- d = 3.406 Å, intensity 12
- d = 2.820 Å, intensity 100
- d = 2.617 Å, intensity 42
- d = 2.178 Å, intensity 11
- d = 1.850 Å, intensity 15
- d = 1.674 Å, intensity 20
- d = 1.547 Å, intensity 33
- d = 1.410 Å, intensity 12

```
Na2SrTl5
1.0
5.2331 0.0000 0.0000
0.0000 5.2331 0.0000
0.0000 0.0000 17.4272
Na Sr Tl
4 2 10
Cartesian
0.0000 0.0000 4.3316
0.0000 0.0000 13.0956
2.6165 2.6165 4.3820
2.6165 2.6165 13.0452
0.0000 0.0000 0.0000
2.6165 2.6165 8.7136
0.0000 0.0000 8.7136
0.0000 2.6165 2.2941
0.0000 2.6165 6.4195
0.0000 2.6165 11.0077
0.0000 2.6165 15.1331
2.6165 0.0000 2.2941
2.6165 0.0000 6.4195
2.6165 0.0000 11.0077
2.6165 0.0000 15.1331
2.6165 2.6165 0.0000
```

(3)
The following is a simulated powder diffractogram of La2DyCo. It was derived from DFT lattice parameters and positions (PBE), using λ = 1.5418 Å (Cu Kα).
Peak positions follow from Bragg's law for the DFT cell and can differ from measured ones.

Principal peaks in the range 2θ = 10–80°, sorted by position:
- d = 2.967 Å, intensity 100
- d = 2.958 Å, intensity 44
- d = 2.903 Å, intensity 39
- d = 2.882 Å, intensity 30
- d = 2.771 Å, intensity 65
- d = 2.738 Å, intensity 36
- d = 2.637 Å, intensity 62
- d = 1.872 Å, intensity 27
- d = 1.649 Å, intensity 23
- d = 1.571 Å, intensity 32

```
La2DyCo
1.0
7.0995 0.0000 0.0000
0.0000 10.0879 0.0000
0.0000 0.0000 6.3074
La Dy Co
8 4 4
Cartesian
1.1873 0.7239 1.1145
1.1873 4.3201 1.1145
2.3625 5.7679 4.2682
2.3625 9.3640 4.2682
4.7370 0.7239 2.0392
4.7370 4.3201 2.0392
5.9122 5.7679 5.1929
5.9122 9.3640 5.1929
0.3259 2.5220 4.1660
3.2238 7.5659 1.0123
3.8757 2.5220 5.2951
6.7736 7.5659 2.1414
0.8308 7.5659 5.9060
2.7190 2.5220 2.7523
4.3805 7.5659 3.5550
6.2687 2.5220 0.4014
```